No. 1
Simulated PXRD pattern
Compound: PrSmBi4
Radiation: copper Kα
Structure: a structure optimized by DFT (PBE)
Kinematic intensities with the Lorentz-polarization factor, no thermal factor.

Structural model:
```
PrSmBi4
1.0
4.660 0.000 0.000
0.000 2.314 8.619
0.000 -2.314 8.619
Pr Sm Bi
1 1 4
Direct
0.000 0.000 0.000 Pr
0.500 0.202 0.202 Sm
0.000 0.349 0.349 Bi
0.000 0.672 0.672 Bi
0.500 0.531 0.531 Bi
0.500 0.849 0.849 Bi
```

The 8 most intense peaks (2θ = 10–90°), in order of rising 2θ:
d/Å	I (rel.)
2.873	22
2.851	100
2.330	15
2.314	15
1.810	12
1.654	13
1.426	24
1.419	12

=====

No. 2
Simulated PXRD pattern
Compound: PrSmZr2Bi2
Radiation: copper Kα
Structure: a structure optimized by DFT (PBE)
Kinematic intensities with the Lorentz-polarization factor, no thermal factor.

Structural model:
```
PrSmZr2Bi2
1.0
-2.198 2.198 8.649
2.198 -2.198 8.649
2.198 2.198 -8.649
Pr Sm Zr Bi
1 1 2 2
Direct
0.000 0.000 0.000 Pr
0.354 0.354 0.000 Sm
0.178 0.678 0.500 Zr
0.678 0.178 0.500 Zr
0.548 0.548 0.000 Bi
0.808 0.808 0.000 Bi
```

The 8 most intense peaks (2θ = 10–90°), in order of rising 2θ:
d/Å	I (rel.)
3.108	51
2.925	50
2.883	23
2.718	57
2.524	100
2.198	59
1.709	29
1.323	27

=====

No. 3
Simulated PXRD pattern
Compound: Pr5Sn2Bi2
Radiation: copper Kα
Structure: a structure optimized by DFT (PBE)
Kinematic intensities with the Lorentz-polarization factor, no thermal factor.

Structural model:
```
Pr5Sn2Bi2
1.0
8.107 -4.255 0.000
8.107 4.255 0.000
0.000 0.000 8.552
Pr Sn Bi
10 4 4
Direct
0.000 0.000 0.000 Pr
0.037 0.696 0.668 Pr
0.196 0.537 0.168 Pr
0.304 0.963 0.668 Pr
0.463 0.804 0.168 Pr
0.500 0.500 0.500 Pr
0.537 0.196 0.832 Pr
0.696 0.037 0.332 Pr
0.804 0.463 0.832 Pr
0.963 0.304 0.332 Pr
0.130 0.870 0.370 Sn
0.370 0.630 0.870 Sn
0.630 0.370 0.130 Sn
0.870 0.130 0.630 Sn
0.205 0.205 0.000 Bi
0.295 0.295 0.500 Bi
0.705 0.705 0.500 Bi
0.795 0.795 0.000 Bi
```

The 8 most intense peaks (2θ = 10–90°), in order of rising 2θ:
d/Å	I (rel.)
3.120	93
3.016	78
2.938	100
2.856	68
2.776	84
2.666	72
2.656	72
1.518	44

=====

No. 4
Simulated PXRD pattern
Compound: PrY2Bi3
Radiation: copper Kα
Structure: a structure optimized by DFT (PBE)
Kinematic intensities with the Lorentz-polarization factor, no thermal factor.

Structural model:
```
PrY2Bi3
1.0
4.512 0.000 0.000
-2.256 3.908 0.000
0.000 0.000 11.059
Pr Y Bi
1 2 3
Direct
0.000 0.000 0.000 Pr
0.333 0.667 0.337 Y
0.667 0.333 0.663 Y
0.000 0.000 0.500 Bi
0.333 0.667 0.825 Bi
0.667 0.333 0.175 Bi
```

The 8 most intense peaks (2θ = 10–90°), in order of rising 2θ:
d/Å	I (rel.)
3.685	18
3.191	100
2.257	77
1.924	10
1.842	28
1.596	13
1.427	36
1.303	27

=====

No. 5
Simulated PXRD pattern
Compound: BiPt15
Radiation: copper Kα
Structure: a structure optimized by DFT (PBE)
Kinematic intensities with the Lorentz-polarization factor, no thermal factor.

Structural model:
```
BiPt15
1.0
7.843 0.000 0.000
0.000 2.841 0.000
-0.034 0.000 36.184
Bi Pt
2 30
Direct
0.125 0.250 0.300 Bi
0.875 0.750 0.700 Bi
0.115 0.250 0.745 Pt
0.120 0.250 0.826 Pt
0.124 0.250 0.904 Pt
0.125 0.250 0.214 Pt
0.126 0.250 0.057 Pt
0.126 0.250 0.135 Pt
0.126 0.250 0.980 Pt
0.364 0.750 0.255 Pt
0.370 0.750 0.175 Pt
0.374 0.750 0.097 Pt
0.374 0.750 0.789 Pt
0.375 0.750 0.715 Pt
0.375 0.750 0.864 Pt
0.376 0.750 0.019 Pt
0.376 0.750 0.941 Pt
0.624 0.250 0.059 Pt
0.624 0.250 0.981 Pt
0.625 0.250 0.136 Pt
0.625 0.250 0.285 Pt
0.626 0.250 0.211 Pt
0.626 0.250 0.903 Pt
0.630 0.250 0.825 Pt
0.636 0.250 0.745 Pt
0.874 0.750 0.020 Pt
0.874 0.750 0.865 Pt
0.874 0.750 0.943 Pt
0.875 0.750 0.786 Pt
0.876 0.750 0.096 Pt
0.880 0.750 0.174 Pt
0.885 0.750 0.255 Pt
```

The 8 most intense peaks (2θ = 10–90°), in order of rising 2θ:
d/Å	I (rel.)
2.390	39
2.301	100
2.296	44
2.270	87
2.068	26
1.988	59
1.960	45
1.204	24

=====

No. 6
Simulated PXRD pattern
Compound: BiPt19
Radiation: copper Kα
Structure: a structure optimized by DFT (PBE)
Kinematic intensities with the Lorentz-polarization factor, no thermal factor.

Structural model:
```
BiPt19
1.0
2.836 0.000 0.000
0.000 2.836 0.000
0.000 0.000 52.105
Bi Pt
1 19
Direct
0.000 0.000 0.000 Bi
0.000 0.000 0.082 Pt
0.000 0.000 0.157 Pt
0.000 0.000 0.232 Pt
0.000 0.000 0.306 Pt
0.000 0.000 0.381 Pt
0.000 0.000 0.456 Pt
0.000 0.000 0.531 Pt
0.000 0.000 0.606 Pt
0.000 0.000 0.681 Pt
0.500 0.500 0.043 Pt
0.500 0.500 0.119 Pt
0.500 0.500 0.194 Pt
0.500 0.500 0.269 Pt
0.500 0.500 0.344 Pt
0.500 0.500 0.418 Pt
0.500 0.500 0.494 Pt
0.500 0.500 0.569 Pt
0.500 0.500 0.644 Pt
0.500 0.500 0.718 Pt
```

The 8 most intense peaks (2θ = 10–90°), in order of rising 2θ:
d/Å	I (rel.)
2.315	100
2.256	43
2.005	56
1.930	13
1.418	27
1.390	18
1.209	28
1.184	13

=====

No. 7
Simulated PXRD pattern
Compound: BiPt10
Radiation: copper Kα
Structure: a structure optimized by DFT (PBE)
Kinematic intensities with the Lorentz-polarization factor, no thermal factor.

Structural model:
```
BiPt10
1.0
4.389 -1.982 0.000
4.389 1.982 0.000
-0.056 0.000 33.818
Bi Pt
2 20
Direct
0.154 0.154 0.284 Bi
0.846 0.846 0.716 Bi
0.049 0.049 0.093 Pt
0.051 0.051 0.828 Pt
0.150 0.150 0.013 Pt
0.150 0.150 0.747 Pt
0.249 0.249 0.199 Pt
0.250 0.250 0.934 Pt
0.348 0.348 0.119 Pt
0.353 0.353 0.854 Pt
0.450 0.450 0.040 Pt
0.454 0.454 0.773 Pt
0.546 0.546 0.227 Pt
0.550 0.550 0.960 Pt
0.647 0.647 0.146 Pt
0.652 0.652 0.881 Pt
0.750 0.750 0.066 Pt
0.751 0.751 0.801 Pt
0.850 0.850 0.253 Pt
0.850 0.850 0.987 Pt
0.949 0.949 0.172 Pt
0.951 0.951 0.907 Pt
```

The 8 most intense peaks (2θ = 10–90°), in order of rising 2θ:
d/Å	I (rel.)
2.342	100
2.304	51
2.267	91
2.223	56
2.004	33
1.999	26
1.980	51
1.192	24

=====

No. 8
Simulated PXRD pattern
Compound: BiPt19
Radiation: copper Kα
Structure: a structure optimized by DFT (PBE)
Kinematic intensities with the Lorentz-polarization factor, no thermal factor.

Structural model:
```
BiPt19
1.0
5.580 0.000 0.000
0.000 2.875 0.000
-0.004 0.000 52.227
Bi Pt
2 38
Direct
0.125 0.250 0.135 Bi
0.875 0.750 0.865 Bi
0.120 0.250 0.819 Pt
0.125 0.250 0.219 Pt
0.125 0.250 0.294 Pt
0.125 0.250 0.369 Pt
0.125 0.250 0.444 Pt
0.125 0.250 0.519 Pt
0.125 0.250 0.593 Pt
0.125 0.250 0.668 Pt
0.125 0.250 0.743 Pt
0.370 0.750 0.181 Pt
0.375 0.750 0.257 Pt
0.375 0.750 0.332 Pt
0.375 0.750 0.407 Pt
0.375 0.750 0.481 Pt
0.375 0.750 0.556 Pt
0.375 0.750 0.631 Pt
0.375 0.750 0.706 Pt
0.375 0.750 0.781 Pt
0.375 0.750 0.856 Pt
0.625 0.250 0.144 Pt
0.625 0.250 0.219 Pt
0.625 0.250 0.294 Pt
0.625 0.250 0.369 Pt
0.625 0.250 0.444 Pt
0.625 0.250 0.519 Pt
0.625 0.250 0.593 Pt
0.625 0.250 0.668 Pt
0.625 0.250 0.743 Pt
0.630 0.250 0.819 Pt
0.875 0.750 0.257 Pt
0.875 0.750 0.332 Pt
0.875 0.750 0.407 Pt
0.875 0.750 0.481 Pt
0.875 0.750 0.556 Pt
0.875 0.750 0.631 Pt
0.875 0.750 0.706 Pt
0.875 0.750 0.781 Pt
0.880 0.750 0.181 Pt
```

The 8 most intense peaks (2θ = 10–90°), in order of rising 2θ:
d/Å	I (rel.)
2.338	100
2.292	94
2.277	41
2.234	39
2.002	90
1.391	34
1.218	26
1.198	25

=====

No. 9
Simulated PXRD pattern
Compound: BiPt15
Radiation: copper Kα
Structure: a structure optimized by DFT (PBE)
Kinematic intensities with the Lorentz-polarization factor, no thermal factor.

Structural model:
```
BiPt15
1.0
2.846 0.000 0.000
0.000 2.846 0.000
0.000 0.000 43.997
Bi Pt
1 15
Direct
0.000 0.000 0.000 Bi
0.000 0.000 0.097 Pt
0.000 0.000 0.185 Pt
0.000 0.000 0.273 Pt
0.000 0.000 0.361 Pt
0.000 0.000 0.449 Pt
0.000 0.000 0.537 Pt
0.000 0.000 0.625 Pt
0.500 0.500 0.051 Pt
0.500 0.500 0.141 Pt
0.500 0.500 0.229 Pt
0.500 0.500 0.317 Pt
0.500 0.500 0.405 Pt
0.500 0.500 0.493 Pt
0.500 0.500 0.582 Pt
0.500 0.500 0.668 Pt
```

The 8 most intense peaks (2θ = 10–90°), in order of rising 2θ:
d/Å	I (rel.)
2.319	100
2.248	44
2.012	48
2.001	13
1.423	16
1.419	14
1.386	17
1.213	27

=====

No. 10
Simulated PXRD pattern
Compound: BiPt10
Radiation: copper Kα
Structure: a structure optimized by DFT (PBE)
Kinematic intensities with the Lorentz-polarization factor, no thermal factor.

Structural model:
```
BiPt10
1.0
4.518 0.000 0.000
0.000 3.200 0.000
-1.040 0.000 36.050
Bi Pt
2 20
Direct
0.204 0.250 0.180 Bi
0.796 0.750 0.820 Bi
0.017 0.250 0.621 Pt
0.103 0.250 0.318 Pt
0.135 0.750 0.561 Pt
0.206 0.750 0.252 Pt
0.250 0.250 0.500 Pt
0.292 0.250 0.799 Pt
0.294 0.750 0.739 Pt
0.365 0.750 0.440 Pt
0.405 0.250 0.681 Pt
0.481 0.250 0.379 Pt
0.519 0.750 0.621 Pt
0.595 0.750 0.319 Pt
0.635 0.250 0.560 Pt
0.706 0.250 0.261 Pt
0.708 0.750 0.201 Pt
0.750 0.750 0.500 Pt
0.794 0.250 0.748 Pt
0.865 0.250 0.439 Pt
0.897 0.750 0.682 Pt
0.983 0.750 0.379 Pt
```

The 8 most intense peaks (2θ = 10–90°), in order of rising 2θ:
d/Å	I (rel.)
2.409	100
2.345	78
2.254	41
2.208	36
2.173	50
2.121	23
2.098	76
1.776	23

=====

No. 11
Simulated PXRD pattern
Compound: BiPt11
Radiation: copper Kα
Structure: a structure optimized by DFT (PBE)
Kinematic intensities with the Lorentz-polarization factor, no thermal factor.

Structural model:
```
BiPt11
1.0
2.894 0.000 0.000
0.000 2.894 0.000
0.000 0.000 35.459
Bi Pt
1 11
Direct
0.000 0.000 0.000 Bi
0.000 0.000 0.117 Pt
0.000 0.000 0.223 Pt
0.000 0.000 0.330 Pt
0.000 0.000 0.437 Pt
0.000 0.000 0.544 Pt
0.500 0.500 0.061 Pt
0.500 0.500 0.170 Pt
0.500 0.500 0.277 Pt
0.500 0.500 0.384 Pt
0.500 0.500 0.491 Pt
0.500 0.500 0.596 Pt
```

The 8 most intense peaks (2θ = 10–90°), in order of rising 2θ:
d/Å	I (rel.)
2.333	100
2.242	50
2.046	55
1.447	18
1.419	14
1.379	17
1.230	27
1.216	14